Structure and calculated powder XRD pattern of CeSm3S4 (a PBE-relaxed structure; copper Kα).
Neutral-atom scattering factors, no anomalous dispersion.

```
8
Lattice="6.6712 -1.9968 0.0000 6.6712 1.9968 0.0000 -1.2691 0.0000 6.8490" Properties=species:S:1:pos:R:3 pbc="T T T"
Ce 0.0000 0.0000 0.0000
Sm 2.3642 0.0000 5.1306
Sm 6.0366 0.0000 3.4245
Sm 9.7090 0.0000 1.7184
S 1.1915 0.0000 2.5674
S 4.8369 0.0000 0.8587
S 7.2364 0.0000 5.9903
S 10.8818 0.0000 4.2816
```

Top 10 peaks for 2θ from 10° to 90°, sorted by position:
2θ 27.1, I 19; 2θ 27.2, I 19; 2θ 27.3, I 37; 2θ 31.5, I 100; 2θ 44.9, I 12; 2θ 45.2, I 24; 2θ 45.3, I 24; 2θ 53.7, I 22; 2θ 56.4, I 12; 2θ 83.8, I 12

---

Structure and calculated powder XRD pattern of U2Si6Ni3 (a PBE-relaxed structure; copper Kα).
Neutral-atom scattering factors, no anomalous dispersion.

```
11
Lattice="1.9888 -10.5341 0.0000 1.9888 10.5341 0.0000 0.0000 0.0000 3.9741" Properties=species:S:1:pos:R:3 pbc="T T T"
U 1.9888 6.9162 0.0000
U 1.9888 -6.9162 0.0000
Si 1.9888 9.2647 1.9871
Si 1.9888 4.6589 1.9871
Si 1.9888 1.2740 0.0000
Si 1.9888 -1.2740 0.0000
Si 1.9888 -4.6589 1.9871
Si 1.9888 -9.2647 1.9871
Ni 0.0000 0.0000 0.0000
Ni 1.9888 2.4101 1.9871
Ni 1.9888 -2.4101 1.9871
```

Top 10 peaks for 2θ from 10° to 90°, sorted by position:
2θ 22.4, I 26; 2θ 25.7, I 28; 2θ 30.9, I 41; 2θ 32.1, I 33; 2θ 34.1, I 67; 2θ 34.4, I 100; 2θ 38.5, I 25; 2θ 44.9, I 26; 2θ 45.6, I 53; 2θ 58.1, I 32

---

Structure and calculated powder XRD pattern of Sr3LaNb3O12 (a PBE-relaxed structure; copper Kα).
Neutral-atom scattering factors, no anomalous dispersion.

```
19
Lattice="2.8660 1.6547 9.2298 -2.8660 1.6547 9.2298 0.0000 -3.3094 9.2298" Properties=species:S:1:pos:R:3 pbc="T T T"
Sr 0.0000 0.0000 0.0000
Sr 0.0000 0.0000 3.9982
Sr 0.0000 0.0000 11.7984
La 0.0000 0.0000 15.8018
Nb 0.0000 0.0000 7.9390
Nb 0.0000 0.0000 19.6559
Nb 0.0000 0.0000 23.8661
O -0.3986 -1.6550 6.7707
O -1.2340 1.1727 6.7707
O -1.5912 -0.4913 13.8322
O -1.2377 -1.1524 20.4894
O -1.5700 0.5588 18.1894
O 0.3010 -1.6391 18.1894
O 1.6326 0.4823 6.7707
O 1.2211 -1.1324 13.8321
O 0.3702 1.6237 13.8321
O -0.3791 1.6480 20.4894
O 1.6168 -0.4957 20.4894
O 1.2690 1.0802 18.1894
```

Top 10 peaks for 2θ from 10° to 90°, sorted by position:
2θ 28.9, I 100; 2θ 31.2, I 74; 2θ 43.0, I 51; 2θ 49.6, I 23; 2θ 54.1, I 36; 2θ 55.5, I 19; 2θ 59.8, I 15; 2θ 65.1, I 13; 2θ 69.0, I 18; 2θ 72.7, I 14

---

Structure and calculated powder XRD pattern of TePb2S (a PBE-relaxed structure; copper Kα).
Neutral-atom scattering factors, no anomalous dispersion.

```
4
Lattice="2.2220 1.2829 7.2599 -2.2220 1.2829 7.2599 0.0000 -2.5657 7.2599" Properties=species:S:1:pos:R:3 pbc="T T T"
Te 0.0000 0.0000 0.0000
Pb 0.0000 0.0000 5.2644
Pb 0.0000 0.0000 16.5153
S 0.0000 0.0000 10.8898
```

Top 10 peaks for 2θ from 10° to 90°, sorted by position:
2θ 24.5, I 35; 2θ 28.4, I 100; 2θ 31.0, I 10; 2θ 40.6, I 75; 2θ 48.0, I 17; 2θ 50.3, I 26; 2θ 56.2, I 8; 2θ 58.8, I 12; 2θ 66.5, I 32; 2θ 73.9, I 23

---

What did the second record say?
Structure and calculated powder XRD pattern of U2Si6Ni3 (a PBE-relaxed structure; copper Kα).
Neutral-atom scattering factors, no anomalous dispersion.

```
11
Lattice="1.9888 -10.5341 0.0000 1.9888 10.5341 0.0000 0.0000 0.0000 3.9741" Properties=species:S:1:pos:R:3 pbc="T T T"
U 1.9888 6.9162 0.0000
U 1.9888 -6.9162 0.0000
Si 1.9888 9.2647 1.9871
Si 1.9888 4.6589 1.9871
Si 1.9888 1.2740 0.0000
Si 1.9888 -1.2740 0.0000
Si 1.9888 -4.6589 1.9871
Si 1.9888 -9.2647 1.9871
Ni 0.0000 0.0000 0.0000
Ni 1.9888 2.4101 1.9871
Ni 1.9888 -2.4101 1.9871
```

Top 10 peaks for 2θ from 10° to 90°, sorted by position:
2θ 22.4, I 26; 2θ 25.7, I 28; 2θ 30.9, I 41; 2θ 32.1, I 33; 2θ 34.1, I 67; 2θ 34.4, I 100; 2θ 38.5, I 25; 2θ 44.9, I 26; 2θ 45.6, I 53; 2θ 58.1, I 32